No. 1
# Ho4Er8Tm
Calculated XRD peak list, Cu Kα (weighted mean of Kα1 and Kα2). Input: the GGA-PBE geometry in Alexandria.
Kinematic intensities with the Lorentz-polarization factor, no thermal factor.

```
data_Ho4Er8Tm
_symmetry_space_group_name_H-M 'R -3 m'
_symmetry_Int_Tables_number 166
_symmetry_space_group_name_Hall '-R 3 2"'
_cell_length_a 7.1793
_cell_length_b 7.1793
_cell_length_c 27.0738
_cell_angle_alpha 90.00
_cell_angle_beta 90.00
_cell_angle_gamma 120.00
loop_
_atom_site_label
_atom_site_fract_x
_atom_site_fract_y
_atom_site_fract_z
Ho1 0.0000 0.0000 0.0000
Ho2 0.0000 0.5000 0.0000
Er1 0.0000 0.0000 0.2150
Er2 0.0343 0.5171 0.7669
Tm1 0.0000 0.0000 0.5000
```

Most intense lines, 15° ≤ 2θ ≤ 90°, sorted by position:
- (0 2 1), d 3.088, 2θ = 28.9°, I = 15
- (0 0 9), d 3.008, 2θ = 29.7°, I = 28
- (0 2 4), d 2.825, 2θ = 31.7°, I = 100
- (2 0 5), d 2.696, 2θ = 33.2°, I = 39
- (2 0 8), d 2.289, 2θ = 39.4°, I = 30
- (2 2 0), d 1.795, 2θ = 50.9°, I = 30
- (0 2 13), d 1.730, 2θ = 52.9°, I = 15
- (2 2 9), d 1.541, 2θ = 60.0°, I = 20
- (4 0 4), d 1.515, 2θ = 61.2°, I = 14
- (0 4 5), d 1.494, 2θ = 62.1°, I = 11

***

No. 2
# Ho3Er2Tm8
Calculated XRD peak list, Cu Kα (weighted mean of Kα1 and Kα2). Input: the GGA-PBE geometry in Alexandria.
Kinematic intensities with the Lorentz-polarization factor, no thermal factor.

```
data_Ho3Er2Tm8
_symmetry_space_group_name_H-M 'C 1 2/m 1'
_symmetry_Int_Tables_number 12
_cell_length_a 22.5402
_cell_length_b 6.7243
_cell_length_c 5.5035
_cell_angle_alpha 90.00
_cell_angle_beta 104.05
_cell_angle_gamma 90.00
loop_
_symmetry_equiv_pos_as_xyz
'x,y,z'
'-x,-y,-z'
'-x,y,-z'
'x,-y,z'
'x+1/2,y+1/2,z'
'-x+1/2,-y+1/2,-z'
'-x+1/2,y+1/2,-z'
'x+1/2,-y+1/2,z'
loop_
_atom_site_label
_atom_site_fract_x
_atom_site_fract_y
_atom_site_fract_z
Ho1 0.0000 0.0000 0.0000
Ho2 0.0000 0.2653 0.5000
Er1 0.2223 0.5000 0.2225
Tm1 0.0747 0.5000 0.0750
Tm2 0.1531 0.2619 0.6536
Tm3 0.1862 0.0000 0.1866
```

Most intense lines, 15° ≤ 2θ ≤ 90°, sorted by position:
- (6 0 0), d 3.644, 2θ = 24.4°, I = 18
- (2 2 -1), d 2.845, 2θ = 31.4°, I = 100
- (5 1 1), d 2.769, 2θ = 32.3°, I = 48
- (2 0 -2), d 2.752, 2θ = 32.5°, I = 59
- (6 0 1), d 2.717, 2θ = 33.0°, I = 56
- (2 2 1), d 2.670, 2θ = 33.6°, I = 16
- (6 2 0), d 2.471, 2θ = 36.4°, I = 18
- (0 4 0), d 1.681, 2θ = 54.6°, I = 17
- (4 2 -3), d 1.606, 2θ = 57.4°, I = 18
- (2 4 -2), d 1.435, 2θ = 65.0°, I = 15

***

No. 3
# Ho3Er3Tm8
Calculated XRD peak list, Cu Kα (weighted mean of Kα1 and Kα2). Input: the GGA-PBE geometry in Alexandria.
Kinematic intensities with the Lorentz-polarization factor, no thermal factor.

```
data_Ho3Er3Tm8
_symmetry_space_group_name_H-M 'I m m m'
_symmetry_Int_Tables_number 71
_symmetry_space_group_name_Hall '-I 2 2'
_cell_length_a 5.5165
_cell_length_b 10.6407
_cell_length_c 14.6464
_cell_angle_alpha 90.00
_cell_angle_beta 90.00
_cell_angle_gamma 90.00
loop_
_atom_site_label
_atom_site_fract_x
_atom_site_fract_y
_atom_site_fract_z
Ho1 0.0000 0.0000 0.0000
Ho2 0.0000 0.5000 0.3187
Er1 0.0000 0.0000 0.5000
Er2 0.0000 0.2958 0.5000
Tm1 0.0000 0.1586 0.2776
Tm2 0.0000 0.3429 0.1040
```

Most intense lines, 15° ≤ 2θ ≤ 90°, sorted by position:
- (1 2 3), d 3.013, 2θ = 29.6°, I = 10
- (1 1 4), d 2.933, 2θ = 30.5°, I = 24
- (0 3 3), d 2.870, 2θ = 31.2°, I = 19
- (2 0 0), d 2.761, 2θ = 32.4°, I = 100
- (1 0 5), d 2.587, 2θ = 34.7°, I = 34
- (2 3 3), d 1.988, 2θ = 45.6°, I = 14
- (3 3 2), d 1.593, 2θ = 57.9°, I = 13
- (2 4 6), d 1.507, 2θ = 61.5°, I = 11
- (2 6 0), d 1.492, 2θ = 62.2°, I = 9
- (1 6 5), d 1.463, 2θ = 63.6°, I = 8

***

No. 4
# Ho8ErTm6
Calculated XRD peak list, Cu Kα (weighted mean of Kα1 and Kα2). Input: the GGA-PBE geometry in Alexandria.
Kinematic intensities with the Lorentz-polarization factor, no thermal factor.

```
data_Ho8ErTm6
_symmetry_space_group_name_H-M 'P -1'
_symmetry_Int_Tables_number 2
_cell_length_a 3.5319
_cell_length_b 9.3828
_cell_length_c 14.1491
_cell_angle_alpha 78.89
_cell_angle_beta 82.88
_cell_angle_gamma 89.95
loop_
_symmetry_equiv_pos_as_xyz
'x,y,z'
'-x,-y,-z'
loop_
_atom_site_label
_atom_site_fract_x
_atom_site_fract_y
_atom_site_fract_z
Ho1 0.0111 0.1879 0.4777
Ho2 0.1889 0.2117 0.1222
Ho3 0.3002 0.1012 0.8996
Ho4 0.3889 0.6108 0.7228
Er1 0.5000 0.5000 0.5000
Tm1 0.1000 0.7006 0.3001
Tm2 0.2111 0.5880 0.0775
Tm3 0.4109 0.9885 0.6778
```

Most intense lines, 15° ≤ 2θ ≤ 90°, sorted by position:
- (1 1 -1), d 3.037, 2θ = 29.4°, I = 37
- (0 3 3), d 2.816, 2θ = 31.8°, I = 50
- (1 2 0), d 2.755, 2θ = 32.5°, I = 100
- (1 1 4), d 2.619, 2θ = 34.2°, I = 88
- (2 0 1), d 1.766, 2θ = 51.8°, I = 38
- (1 4 7), d 1.558, 2θ = 59.3°, I = 19
- (2 3 4), d 1.496, 2θ = 62.0°, I = 45
- (2 0 -4), d 1.487, 2θ = 62.5°, I = 15
- (2 3 -1), d 1.464, 2θ = 63.5°, I = 15
- (2 6 7), d 1.101, 2θ = 88.9°, I = 16

***

No. 5
# HoEr5Tm5
Calculated XRD peak list, Cu Kα (weighted mean of Kα1 and Kα2). Input: the GGA-PBE geometry in Alexandria.
Kinematic intensities with the Lorentz-polarization factor, no thermal factor.

```
data_HoEr5Tm5
_symmetry_space_group_name_H-M 'P -1'
_symmetry_Int_Tables_number 2
_cell_length_a 6.7144
_cell_length_b 6.8617
_cell_length_c 8.1717
_cell_angle_alpha 76.20
_cell_angle_beta 76.85
_cell_angle_gamma 72.80
loop_
_symmetry_equiv_pos_as_xyz
'x,y,z'
'-x,-y,-z'
loop_
_atom_site_label
_atom_site_fract_x
_atom_site_fract_y
_atom_site_fract_z
Ho1 0.0000 0.0000 0.0000
Er1 0.0000 0.5000 0.0000
Er2 0.1591 0.6291 0.3585
Er3 0.3294 0.7636 0.6542
Tm1 0.2050 0.1367 0.3180
Tm2 0.3517 0.2461 0.7206
Tm3 0.5000 0.5000 0.0000
```

Most intense lines, 15° ≤ 2θ ≤ 90°, sorted by position:
- (0 2 -1), d 2.802, 2θ = 31.9°, I = 55
- (2 0 -1), d 2.772, 2θ = 32.3°, I = 100
- (0 2 2), d 2.747, 2θ = 32.6°, I = 70
- (2 2 1), d 2.729, 2θ = 32.8°, I = 97
- (2 0 2), d 2.691, 2θ = 33.3°, I = 74
- (0 0 3), d 2.609, 2θ = 34.4°, I = 92
- (2 -2 0), d 2.014, 2θ = 45.0°, I = 21
- (2 2 4), d 1.843, 2θ = 49.5°, I = 23
- (4 2 0), d 1.588, 2θ = 58.1°, I = 20
- (4 2 3), d 1.549, 2θ = 59.7°, I = 28

***

No. 6
# HoEr12Tm2
Calculated XRD peak list, Cu Kα (weighted mean of Kα1 and Kα2). Input: the GGA-PBE geometry in Alexandria.
Kinematic intensities with the Lorentz-polarization factor, no thermal factor.

```
data_HoEr12Tm2
_symmetry_space_group_name_H-M 'C m m m'
_symmetry_Int_Tables_number 65
_symmetry_space_group_name_Hall '-C 2 2'
_cell_length_a 3.5779
_cell_length_b 46.1096
_cell_length_c 5.5838
_cell_angle_alpha 90.00
_cell_angle_beta 90.00
_cell_angle_gamma 90.00
loop_
_atom_site_label
_atom_site_fract_x
_atom_site_fract_y
_atom_site_fract_z
Ho1 0.0000 0.0000 0.0000
Er1 0.0000 0.0966 0.5000
Er2 0.0000 0.2213 0.5000
Er3 0.0000 0.2879 0.0000
Er4 0.0000 0.3391 0.5000
Er5 0.0000 0.4263 0.0000
Er6 0.0000 0.4666 0.5000
Tm1 0.0000 0.1423 0.0000
```

Most intense lines, 15° ≤ 2θ ≤ 90°, sorted by position:
- (1 9 0), d 2.933, 2θ = 30.5°, I = 16
- (0 16 0), d 2.882, 2θ = 31.0°, I = 13
- (0 14 1), d 2.837, 2θ = 31.5°, I = 31
- (0 0 2), d 2.792, 2θ = 32.1°, I = 46
- (1 7 1), d 2.740, 2θ = 32.7°, I = 100
- (1 9 1), d 2.597, 2θ = 34.5°, I = 23
- (0 16 1), d 2.561, 2θ = 35.0°, I = 18
- (1 7 3), d 1.602, 2θ = 57.5°, I = 20
- (1 21 2), d 1.554, 2θ = 59.5°, I = 13
- (2 0 2), d 1.506, 2θ = 61.6°, I = 15

***

No. 7
# Ho3Er2Tm
Calculated XRD peak list, Cu Kα (weighted mean of Kα1 and Kα2). Input: the GGA-PBE geometry in Alexandria.
Kinematic intensities with the Lorentz-polarization factor, no thermal factor.

```
data_Ho3Er2Tm
_symmetry_space_group_name_H-M 'C 1 2/m 1'
_symmetry_Int_Tables_number 12
_cell_length_a 16.7953
_cell_length_b 5.5385
_cell_length_c 9.5506
_cell_angle_alpha 90.00
_cell_angle_beta 124.64
_cell_angle_gamma 90.00
loop_
_symmetry_equiv_pos_as_xyz
'x,y,z'
'-x,-y,-z'
'-x,y,-z'
'x,-y,z'
'x+1/2,y+1/2,z'
'-x+1/2,-y+1/2,-z'
'-x+1/2,y+1/2,-z'
'x+1/2,-y+1/2,z'
loop_
_atom_site_label
_atom_site_fract_x
_atom_site_fract_y
_atom_site_fract_z
Ho1 0.0000 0.0000 0.1678
Ho2 0.1248 0.5000 0.1257
Ho3 0.2493 0.5000 0.9170
Er1 0.0000 0.5000 0.3343
Er2 0.2494 0.5000 0.5835
Tm1 0.1251 0.0000 0.6243
```

Most intense lines, 15° ≤ 2θ ≤ 90°, sorted by position:
- (6 0 -2), d 2.801, 2θ = 32.0°, I = 100
- (0 2 0), d 2.769, 2θ = 32.3°, I = 36
- (3 1 -3), d 2.760, 2θ = 32.4°, I = 72
- (6 2 -2), d 1.969, 2θ = 46.1°, I = 24
- (0 0 4), d 1.964, 2θ = 46.2°, I = 12
- (3 3 1), d 1.605, 2θ = 57.4°, I = 13
- (9 1 -5), d 1.601, 2θ = 57.6°, I = 25
- (3 3 -3), d 1.597, 2θ = 57.7°, I = 14
- (8 2 0), d 1.466, 2θ = 63.5°, I = 11
- (5 1 3), d 1.464, 2θ = 63.5°, I = 21

***

No. 8
# HoEr2Tm4
Calculated XRD peak list, Cu Kα (weighted mean of Kα1 and Kα2). Input: the GGA-PBE geometry in Alexandria.
Kinematic intensities with the Lorentz-polarization factor, no thermal factor.

```
data_HoEr2Tm4
_symmetry_space_group_name_H-M 'R 3 m'
_symmetry_Int_Tables_number 160
_symmetry_space_group_name_Hall 'R 3 -2"'
_cell_length_a 3.5498
_cell_length_b 3.5498
_cell_length_c 58.3860
_cell_angle_alpha 90.00
_cell_angle_beta 90.00
_cell_angle_gamma 120.00
loop_
_atom_site_label
_atom_site_fract_x
_atom_site_fract_y
_atom_site_fract_z
Ho1 0.0000 0.0000 0.0000
Er1 0.0000 0.0000 0.8091
Er2 0.0000 0.0000 0.9044
Tm1 0.0000 0.0000 0.0949
Tm2 0.0000 0.0000 0.1899
Tm3 0.0000 0.0000 0.6189
Tm4 0.0000 0.0000 0.7144
```

Most intense lines, 15° ≤ 2θ ≤ 90°, sorted by position:
- (1 0 1), d 3.070, 2θ = 29.1°, I = 35
- (0 0 21), d 2.780, 2θ = 32.2°, I = 52
- (1 0 10), d 2.720, 2θ = 32.9°, I = 100
- (0 1 11), d 2.660, 2θ = 33.7°, I = 96
- (1 1 0), d 1.775, 2θ = 51.5°, I = 42
- (1 0 31), d 1.606, 2θ = 57.4°, I = 20
- (0 1 32), d 1.569, 2θ = 58.9°, I = 20
- (1 1 21), d 1.496, 2θ = 62.0°, I = 48
- (0 2 10), d 1.486, 2θ = 62.5°, I = 16
- (1 1 42), d 1.094, 2θ = 89.6°, I = 18